No. 1
Starting from a GGA-PBE-relaxed structure, the PXRD pattern of Tb5Nd5Y was computed for λ = 1.5418 Å (Cu Kα).

Crystal structure
abc: 6.9837 7.0347 8.5085
angles: 75.61 76.52 72.34
Space group P-1 (No. 2)
Inequivalent atoms, fractional coordinates:
Tb1 0.0000 0.0000 0.0000 [1 per cell]
Tb2 0.1750 0.7260 0.3493 [2 per cell]
Tb3 0.2928 0.3561 0.6931 [2 per cell]
Nd1 0.1401 0.2578 0.2691 [2 per cell]
Nd2 0.3446 0.8656 0.6429 [2 per cell]
Nd3 0.5000 0.5000 0.0000 [1 per cell]
Y1 0.5000 0.0000 0.0000 [1 per cell]

Principal peaks in the range 10 to 80 degrees two-theta, low angle first:
2theta  d [Å]  I/Imax
31.12  2.874  61
31.24  2.863  51
31.60  2.832  100
31.95  2.801  15
32.03  2.795  48
33.10  2.707  41
33.52  2.673  17
43.77  2.068  14
45.56  1.991  13
47.32  1.921  14

No. 2
Starting from a GGA-PBE-relaxed structure, the PXRD pattern of La12Pr7Sc was computed for λ = 1.5418 Å (Cu Kα).

Crystal structure
abc: 12.7183 12.7183 15.3672
angles: 90.00 90.00 120.00
Space group R-3 (No. 148, hexagonal axes)
Inequivalent atoms, fractional coordinates:
La1 0.0303 0.5830 0.2232 [18 per cell]
La2 0.0742 0.4827 0.5739 [18 per cell]
Pr1 0.0000 0.0000 0.0000 [3 per cell]
Pr2 0.0635 0.8787 0.3041 [18 per cell]
Sc1 0.0000 0.0000 0.5000 [3 per cell]

Principal peaks in the range 10 to 80 degrees two-theta, low angle first:
2theta  d [Å]  I/Imax
22.29  3.989  22
28.32  3.151  20
29.82  2.996  100
29.94  2.984  48
30.19  2.960  24
31.52  2.839  67
31.69  2.823  42
33.39  2.684  18
51.86  1.763  23
55.03  1.669  18

No. 3
Starting from a GGA-PBE-relaxed structure, the PXRD pattern of LaPr5Cd was computed for λ = 1.5418 Å (Cu Kα).

Crystal structure
abc: 11.9466 6.7414 12.6726
angles: 90.00 107.27 90.00
Space group C2/c (No. 15)
Inequivalent atoms, fractional coordinates:
La1 0.0000 0.2168 0.2500 [4 per cell]
Pr1 0.0000 0.2616 0.7500 [4 per cell]
Pr2 0.1630 0.4577 0.0393 [8 per cell]
Pr3 0.2372 0.0498 0.6830 [8 per cell]
Cd1 0.0000 0.0000 0.0000 [4 per cell]

Principal peaks in the range 10 to 80 degrees two-theta, low angle first:
2theta  d [Å]  I/Imax
26.92  3.312  38
29.01  3.077  36
29.53  3.025  35
30.39  2.941  100
30.81  2.902  56
31.21  2.866  38
32.13  2.786  66
34.05  2.633  61
34.61  2.592  51
35.47  2.531  42

No. 4
Starting from a GGA-PBE-relaxed structure, the PXRD pattern of ZnCu2SnSeS3 was computed for λ = 1.5418 Å (Cu Kα).

Crystal structure
abc: 5.5356 5.5419 6.7808
angles: 114.10 113.98 90.14
Space group P1 (No. 1)
Inequivalent atoms, fractional coordinates:
Zn1 0.0000 0.0000 0.0000 [1 per cell]
Cu1 0.2621 0.7328 0.4787 [1 per cell]
Cu2 0.5264 0.5266 0.0086 [1 per cell]
Sn1 0.7506 0.2584 0.4930 [1 per cell]
Se1 0.1602 0.1245 0.7554 [1 per cell]
S1 0.3696 0.8616 0.2355 [1 per cell]
S2 0.6177 0.6419 0.7516 [1 per cell]
S3 0.8839 0.3890 0.2355 [1 per cell]

Principal peaks in the range 10 to 80 degrees two-theta, low angle first:
2theta  d [Å]  I/Imax
17.91  4.953  5
27.90  3.198  100
32.33  2.769  8
46.35  1.959  53
46.43  1.956  11
54.97  1.670  31
55.04  1.669  10
67.66  1.385  10
74.61  1.272  6
74.73  1.270  7

No. 5
Starting from a GGA-PBE-relaxed structure, the PXRD pattern of SrLi2BrO4 was computed for λ = 1.5418 Å (Cu Kα).

Crystal structure
abc: 10.2910 7.9829 6.4675
angles: 90.00 128.30 90.00
Space group C2/c (No. 15)
Inequivalent atoms, fractional coordinates:
Sr1 0.2500 0.2500 0.0000 [4 per cell]
Li1 0.0000 0.0000 0.0000 [4 per cell]
Li2 0.2500 0.2500 0.5000 [4 per cell]
Br1 0.0000 0.5000 0.0000 [4 per cell]
O1 0.0076 0.2541 0.5040 [8 per cell]
O2 0.2432 0.4853 0.2733 [8 per cell]

Principal peaks in the range 10 to 80 degrees two-theta, low angle first:
2theta  d [Å]  I/Imax
15.61  5.678  100
17.65  5.025  78
28.23  3.161  24
28.47  3.135  28
31.52  2.839  36
35.37  2.538  34
35.75  2.512  98
44.89  2.019  30
45.46  1.995  37
58.90  1.568  30

No. 6
Starting from a GGA-PBE-relaxed structure, the PXRD pattern of K3Cl2F was computed for λ = 1.5418 Å (Cu Kα).

Crystal structure
abc: 4.3603 4.3603 18.0063
angles: 90.00 90.00 90.00
Space group I4/mmm (No. 139)
Inequivalent atoms, fractional coordinates:
K1 0.0000 0.0000 0.0000 [2 per cell]
K2 0.0000 0.0000 0.3478 [4 per cell]
Cl1 0.0000 0.0000 0.1677 [4 per cell]
F1 0.0000 0.0000 0.5000 [2 per cell]

Principal peaks in the range 10 to 80 degrees two-theta, low angle first:
2theta  d [Å]  I/Imax
28.96  3.083  100
29.77  3.001  41
32.24  2.777  9
41.42  2.180  33
42.01  2.151  57
51.83  1.764  28
60.01  1.542  10
67.99  1.379  13
68.42  1.371  11
75.93  1.253  20

No. 7
Starting from a GGA-PBE-relaxed structure, the PXRD pattern of Y2BeIr2 was computed for λ = 1.5418 Å (Cu Kα).

Crystal structure
abc: 10.0734 5.4463 7.1876
angles: 90.00 102.54 90.00
Space group C2/c (No. 15)
Inequivalent atoms, fractional coordinates:
Y1 0.1470 0.1341 0.1470 [8 per cell]
Be1 0.0000 0.4077 0.7500 [4 per cell]
Ir1 0.1278 0.3673 0.5108 [8 per cell]

Principal peaks in the range 10 to 80 degrees two-theta, low angle first:
2theta  d [Å]  I/Imax
18.62  4.764  27
21.41  4.150  57
25.39  3.508  56
33.27  2.693  38
36.57  2.457  87
38.62  2.332  100
39.95  2.257  32
41.17  2.193  27
41.29  2.187  62
44.94  2.017  33

No. 8
Starting from a GGA-PBE-relaxed structure, the PXRD pattern of PrNd3S4 was computed for λ = 1.5418 Å (Cu Kα).

Crystal structure
abc: 5.7693 5.7693 5.7693
angles: 90.00 90.00 90.00
Space group Pm-3m (No. 221)
Inequivalent atoms, fractional coordinates:
Pr1 0.0000 0.0000 0.0000 [1 per cell]
Nd1 0.0000 0.5000 0.5000 [3 per cell]
S1 0.0000 0.0000 0.5000 [3 per cell]
S2 0.5000 0.5000 0.5000 [1 per cell]

Principal peaks in the range 10 to 80 degrees two-theta, low angle first:
2theta  d [Å]  I/Imax
26.76  3.331  74
31.00  2.885  100
44.41  2.040  73
52.61  1.740  37
55.15  1.665  25
64.62  1.442  12
71.25  1.324  15
73.39  1.290  32

What is the formula in the sixth record? K3Cl2F

Number 8 is which compound? PrNd3S4

What is the formula in the second record? La12Pr7Sc